# 1
The following is a computed PXRD pattern of TbEr3In2. It was derived from a crystal structure in Alexandria, relaxed with PBE, using Cu Kα (λ = 1.5418 Å).

Most intense lines, 2θ from 5° to 70°, by angle:
- 30.43°, I 251
- 31.62°, I 185
- 32.03°, I 1000
- 32.55°, I 526
- 32.66°, I 253
- 32.79°, I 246
- 32.92°, I 190
- 34.36°, I 648
- 34.93°, I 416
- 52.55°, I 209

Cell and atoms:
a b c (Å): 8.8922 3.4830 22.0142
angles (deg): 90.00 90.00 90.00
Fractional coordinates of all 24 atoms:
Tb 0.1576 0.2500 0.1613
Tb 0.3424 0.7500 0.6613
Tb 0.6576 0.2500 0.3387
Tb 0.8424 0.7500 0.8387
Er 0.0394 0.2500 0.4242
Er 0.1085 0.2500 0.9363
Er 0.2154 0.7500 0.8038
Er 0.2846 0.2500 0.3038
Er 0.3915 0.7500 0.4363
Er 0.4606 0.7500 0.9242
Er 0.5394 0.2500 0.0758
Er 0.6085 0.2500 0.5637
Er 0.7154 0.7500 0.6962
Er 0.7846 0.2500 0.1962
Er 0.8915 0.7500 0.0637
Er 0.9606 0.7500 0.5758
In 0.0251 0.2500 0.7086
In 0.2498 0.2500 0.5427
In 0.2502 0.7500 0.0427
In 0.4749 0.7500 0.2086
In 0.5251 0.2500 0.7914
In 0.7498 0.2500 0.9573
In 0.7502 0.7500 0.4573
In 0.9749 0.7500 0.2914



# 2
The following is a computed PXRD pattern of LiAg3Pd4. It was derived from a crystal structure in Alexandria, relaxed with PBE, using Cu Kα (λ = 1.5418 Å).

Most intense lines, 2θ from 5° to 70°, by angle:
- 10.94°, I 68
- 23.03°, I 78
- 27.88°, I 47
- 33.74°, I 40
- 35.78°, I 26
- 39.01°, I 1000
- 44.84°, I 164
- 45.61°, I 318
- 65.88°, I 200
- 66.49°, I 99

Cell and atoms:
a b c (Å): 3.9776 3.9776 16.1713
angles (deg): 90.00 90.00 90.00
Fractional coordinates of all 16 atoms:
Li 0.0000 0.0000 0.0000
Li 0.5000 0.5000 0.5000
Ag 0.0000 0.0000 0.2503
Ag 0.0000 0.0000 0.5000
Ag 0.0000 0.0000 0.7497
Ag 0.5000 0.5000 0.0000
Ag 0.5000 0.5000 0.2497
Ag 0.5000 0.5000 0.7503
Pd 0.0000 0.5000 0.1216
Pd 0.0000 0.5000 0.3784
Pd 0.0000 0.5000 0.6216
Pd 0.0000 0.5000 0.8784
Pd 0.5000 0.0000 0.1216
Pd 0.5000 0.0000 0.3784
Pd 0.5000 0.0000 0.6216
Pd 0.5000 0.0000 0.8784



# 3
The following is a computed PXRD pattern of CaRe2O8. It was derived from a crystal structure in Alexandria, relaxed with PBE, using Cu Kα (λ = 1.5418 Å).

Most intense lines, 2θ from 5° to 70°, by angle:
- 16.99°, I 445
- 18.42°, I 685
- 23.16°, I 1000
- 28.76°, I 848
- 28.86°, I 471
- 29.75°, I 660
- 31.36°, I 814
- 39.35°, I 561
- 41.85°, I 460
- 55.36°, I 409

Cell and atoms:
a b c (Å): 5.7306 5.7306 3.8411
angles (deg): 90.00 90.00 114.40
Fractional coordinates of all 11 atoms:
Ca 0.0000 0.0000 0.0000
Re 0.3126 0.6874 0.5000
Re 0.6874 0.3126 0.5000
O 0.0461 0.3252 0.5000
O 0.2670 0.7330 0.0000
O 0.3252 0.0461 0.5000
O 0.5000 0.5000 0.2477
O 0.5000 0.5000 0.7523
O 0.6748 0.9539 0.5000
O 0.7330 0.2670 0.0000
O 0.9539 0.6748 0.5000



# 4
The following is a computed PXRD pattern of ScTaBr. It was derived from a crystal structure in Alexandria, relaxed with PBE, using Cu Kα (λ = 1.5418 Å).

Most intense lines, 2θ from 5° to 70°, by angle:
- 11.89°, I 254
- 23.92°, I 287
- 31.80°, I 149
- 34.07°, I 1000
- 40.18°, I 455
- 48.96°, I 283
- 56.66°, I 187
- 59.58°, I 134
- 62.38°, I 147
- 67.79°, I 135

Cell and atoms:
a b c (Å): 3.2490 3.2490 7.4413
angles (deg): 90.00 90.00 120.00
Fractional coordinates of all 3 atoms:
Sc 0.0000 0.0000 0.0000
Ta 0.6667 0.3333 0.3047
Br 0.3333 0.6667 0.7361



# 5
The following is a computed PXRD pattern of YTm3Sc2. It was derived from a crystal structure in Alexandria, relaxed with PBE, using Cu Kα (λ = 1.5418 Å).

Most intense lines, 2θ from 5° to 70°, by angle:
- 9.48°, I 244
- 10.51°, I 872
- 29.37°, I 284
- 31.89°, I 702
- 32.14°, I 430
- 32.36°, I 1000
- 33.72°, I 654
- 33.96°, I 393
- 35.73°, I 323
- 38.57°, I 254

Cell and atoms:
a b c (Å): 11.3031 11.3031 9.8118
angles (deg): 107.77 107.77 17.13
Fractional coordinates of all 12 atoms:
Y 0.1835 0.1835 0.0428
Y 0.8165 0.8165 0.9572
Tm 0.0596 0.0596 0.4351
Tm 0.1970 0.1970 0.7083
Tm 0.4313 0.4313 0.2324
Tm 0.5687 0.5687 0.7676
Tm 0.8030 0.8030 0.2917
Tm 0.9404 0.9404 0.5649
Sc 0.1920 0.1920 0.3737
Sc 0.4300 0.4300 0.8601
Sc 0.5700 0.5700 0.1399
Sc 0.8081 0.8081 0.6263



# 6
The following is a computed PXRD pattern of Pa2ZnCo4P3. It was derived from a crystal structure in Alexandria, relaxed with PBE, using Cu Kα (λ = 1.5418 Å).

Most intense lines, 2θ from 5° to 70°, by angle:
- 18.08°, I 198
- 25.06°, I 526
- 33.23°, I 236
- 36.18°, I 632
- 36.63°, I 144
- 38.09°, I 1000
- 47.71°, I 376
- 52.44°, I 294
- 54.63°, I 143
- 61.31°, I 278

Cell and atoms:
a b c (Å): 3.8126 3.8126 9.8128
angles (deg): 90.00 90.00 90.00
Fractional coordinates of all 10 atoms:
Pa 0.0000 0.5000 0.2462
Pa 0.5000 0.0000 0.7538
Zn 0.0000 0.0000 0.5000
Co 0.0000 0.0000 0.0000
Co 0.0000 0.5000 0.6511
Co 0.5000 0.0000 0.3489
Co 0.5000 0.5000 0.0000
P 0.0000 0.5000 0.8755
P 0.5000 0.0000 0.1245
P 0.5000 0.5000 0.5000